# Fe3SbN
Calculated X-ray diffraction stick pattern, CuKα. Input: DFT lattice parameters and positions (GGA-PBE).
Peak positions follow from Bragg's law for the DFT cell and can differ from measured ones.

The 12 most intense peaks (2θ = 5–70°), sorted by position:
22.89°, I 13, hkl 1 0 1; 23.18°, I 7, hkl 0 2 0; 32.81°, I 35, hkl 1 2 1; 38.78°, I 7, hkl 0 3 1; 40.17°, I 96, hkl 0 2 2; 40.59°, I 100, hkl 2 2 0; 46.76°, I 75, hkl 2 0 2; 47.39°, I 33, hkl 0 4 0; 57.98°, I 8, hkl 1 2 3; 58.59°, I 8, hkl 0 4 2; 67.70°, I 10, hkl 0 0 4; 68.79°, I 49, hkl 4 0 0

Structural model:
```
data_Fe3SbN
_space_group_name_H-M_alt 'I m m a'
_space_group_IT_number 74
_space_group_name_Hall '-I 2b 2'
_cell_length_a 5.454
_cell_length_b 7.673
_cell_length_c 5.536
_cell_angle_alpha 90.00
_cell_angle_beta 90.00
_cell_angle_gamma 90.00
loop_
_atom_site_label
_atom_site_fract_x
_atom_site_fract_y
_atom_site_fract_z
Fe1 0.000 0.250 0.046
Fe2 0.250 0.024 0.750
Sb1 0.000 0.250 0.498
N1 0.000 0.000 0.000
```